1.
The following is a computed PXRD pattern of Rb3TbI6. It was derived from the GGA-PBE geometry in OQMD, using Cu Kα.

Principal peaks in the range 2θ from 5° to 70°, low angle first:
2θ 11.80, intensity 44, hkl 1 0 1; 2θ 13.82, intensity 32, hkl 0 1 2; 2θ 22.93, intensity 100, hkl 1 1 3; 2θ 27.85, intensity 56, hkl 0 2 4; 2θ 31.73, intensity 32, hkl 2 -1 6; 2θ 33.56, intensity 39, hkl 3 0 0; 2θ 34.04, intensity 29, hkl 3 -1 4; 2θ 36.38, intensity 27, hkl 3 -2 5; 2θ 42.86, intensity 23, hkl 1 1 9; 2θ 52.67, intensity 25, hkl 3 2 4

Atomic structure:
```
data_Rb3TbI6
_symmetry_space_group_name_H-M 'R -3'
_symmetry_Int_Tables_number 148
_symmetry_space_group_name_Hall '-R 3'
_cell_length_a 9.2504
_cell_length_b 9.2504
_cell_length_c 21.3424
_cell_angle_alpha 90.00
_cell_angle_beta 90.00
_cell_angle_gamma 120.00
loop_
_atom_site_label
_atom_site_type_symbol
_atom_site_fract_x
_atom_site_fract_y
_atom_site_fract_z
_atom_site_occupancy
Rb1 Rb 0.0000 0.0000 0.0000 1
Rb2 Rb 0.0000 0.0000 0.2768 1
Tb1 Tb 0.0000 0.0000 0.5000 1
I1 I 0.0383 0.2867 0.5828 1
```



2.
The following is a computed PXRD pattern of Rb2WI6. It was derived from the GGA-PBE geometry in OQMD, using Cu Kα.

Principal peaks in the range 2θ from 5° to 70°, low angle first:
2θ 13.27, intensity 51, hkl 1 0 1; 2θ 15.44, intensity 22, hkl 1 1 0; 2θ 25.70, intensity 19, hkl 1 2 1; 2θ 26.72, intensity 100, hkl 2 0 2; 2θ 30.50, intensity 41, hkl 0 0 4; 2θ 31.18, intensity 73, hkl 2 2 0; 2θ 44.18, intensity 54, hkl 2 2 4; 2θ 44.67, intensity 25, hkl 4 0 0; 2θ 52.82, intensity 23, hkl 2 4 2; 2θ 55.06, intensity 26, hkl 4 0 4

Atomic structure:
```
data_Rb2WI6
_symmetry_space_group_name_H-M 'I 4/m'
_symmetry_Int_Tables_number 87
_symmetry_space_group_name_Hall '-I 4'
_cell_length_a 8.114
_cell_length_b 8.114
_cell_length_c 11.723
_cell_angle_alpha 90.00
_cell_angle_beta 90.00
_cell_angle_gamma 90.00
loop_
_atom_site_label
_atom_site_type_symbol
_atom_site_fract_x
_atom_site_fract_y
_atom_site_fract_z
_atom_site_occupancy
Rb1 Rb 0.000 0.500 0.250 1
W1 W 0.000 0.000 0.000 1
I1 I 0.000 0.000 0.237 1
I2 I 0.219 0.262 0.000 1
```



3.
The following is a computed PXRD pattern of RbW3I7. It was derived from the GGA-PBE geometry in OQMD, using Cu Kα.

Principal peaks in the range 2θ from 5° to 70°, low angle first:
2θ 9.41, intensity 38, hkl 1 0 0; 2θ 10.46, intensity 19, hkl 0 0 2; 2θ 10.77, intensity 100, hkl 1 0 1; 2θ 14.09, intensity 15, hkl 1 0 2; 2θ 26.72, intensity 31, hkl 1 1 4; 2θ 28.50, intensity 26, hkl 3 0 0; 2θ 38.03, intensity 10, hkl 3 1 3; 2θ 38.46, intensity 13, hkl 1 0 7; 2θ 39.46, intensity 37, hkl 4 -2 4; 2θ 45.02, intensity 19, hkl 3 2 3

Atomic structure:
```
data_RbW3I7
_symmetry_space_group_name_H-M 'P -3 1 c'
_symmetry_Int_Tables_number 163
_symmetry_space_group_name_Hall '-P 3 2c'
_cell_length_a 10.8510
_cell_length_b 10.8510
_cell_length_c 16.9194
_cell_angle_alpha 90.00
_cell_angle_beta 90.00
_cell_angle_gamma 120.00
loop_
_atom_site_label
_atom_site_type_symbol
_atom_site_fract_x
_atom_site_fract_y
_atom_site_fract_z
_atom_site_occupancy
Rb1 Rb 0.0000 0.0000 0.0000 1
Rb2 Rb 0.3333 0.6667 0.2500 1
W1 W 0.1899 0.5242 0.8145 1
I1 I 0.0327 0.3402 0.4100 1
I2 I 0.0339 0.3639 0.6799 1
I3 I 0.3333 0.6667 0.5468 1
```